1.
Starting from a DFT-relaxed cell (GGA-PBE, Alexandria), the X-ray diffraction stick pattern of SmTh2Si6 was calculated for Cu Ka.
Neutral-atom scattering factors, no anomalous dispersion.

Lattice parameters (Å, degrees): 7.133 7.133 4.158 90.00 90.00 120.00
Sites, in units of the cell vectors:
1 Sm 0.000 0.000 0.000
2 Th 0.333 0.667 0.000
3 Th 0.667 0.333 0.000
4 Si 0.000 0.333 0.500
5 Si 0.000 0.667 0.500
6 Si 0.333 0.000 0.500
7 Si 0.333 0.333 0.500
8 Si 0.667 0.000 0.500
9 Si 0.667 0.667 0.500

Top 10 peaks for 10° ≤ 2θ ≤ 90°, by intensity:
Position (°2θ)  I (rel.)
33.09  100
24.97  56
43.97  29
56.12  23
73.91  20
63.60  20
21.37  18
50.84  17
49.39  13
73.28  10



2.
Starting from a DFT-relaxed cell (GGA-PBE, Alexandria), the X-ray diffraction stick pattern of Be4Si23 was calculated for Cu Ka.
Neutral-atom scattering factors, no anomalous dispersion.

Lattice parameters (Å, degrees): 10.168 10.168 10.168 90.00 90.00 90.00
Sites, in units of the cell vectors:
1 Be 0.000 0.000 0.000
2 Be 0.000 0.250 0.500
3 Be 0.000 0.750 0.500
4 Be 0.250 0.500 0.000
5 Be 0.500 0.000 0.250
6 Be 0.500 0.000 0.750
7 Be 0.500 0.500 0.500
8 Be 0.750 0.500 0.000
9 Si 0.000 0.309 0.116
10 Si 0.000 0.309 0.884
11 Si 0.000 0.500 0.250
12 Si 0.000 0.500 0.750
13 Si 0.000 0.691 0.116
14 Si 0.000 0.691 0.884
15 Si 0.116 0.000 0.309
16 Si 0.116 0.000 0.691
17 Si 0.183 0.183 0.183
18 Si 0.183 0.183 0.817
19 Si 0.183 0.817 0.183
20 Si 0.183 0.817 0.817
21 Si 0.191 0.500 0.384
22 Si 0.191 0.500 0.616
23 Si 0.250 0.000 0.500
24 Si 0.309 0.116 0.000
25 Si 0.309 0.884 0.000
26 Si 0.317 0.317 0.317
27 Si 0.317 0.317 0.683
28 Si 0.317 0.683 0.317
29 Si 0.317 0.683 0.683
30 Si 0.384 0.191 0.500
31 Si 0.384 0.809 0.500
32 Si 0.500 0.250 0.000
33 Si 0.500 0.384 0.191
34 Si 0.500 0.384 0.809
35 Si 0.500 0.616 0.191
36 Si 0.500 0.616 0.809
37 Si 0.500 0.750 0.000
38 Si 0.616 0.191 0.500
39 Si 0.616 0.809 0.500
40 Si 0.683 0.317 0.317
41 Si 0.683 0.317 0.683
42 Si 0.683 0.683 0.317
43 Si 0.683 0.683 0.683
44 Si 0.691 0.116 0.000
45 Si 0.691 0.884 0.000
46 Si 0.750 0.000 0.500
47 Si 0.809 0.500 0.384
48 Si 0.809 0.500 0.616
49 Si 0.817 0.183 0.183
50 Si 0.817 0.183 0.817
51 Si 0.817 0.817 0.183
52 Si 0.817 0.817 0.817
53 Si 0.884 0.000 0.309
54 Si 0.884 0.000 0.691

Top 10 peaks for 10° ≤ 2θ ≤ 90°, by intensity:
Position (°2θ)  I (rel.)
32.96  100
52.47  84
19.52  74
21.41  50
55.73  49
30.45  36
36.43  34
31.73  30
53.30  28
54.12  25



3.
Starting from a DFT-relaxed cell (GGA-PBE, Alexandria), the X-ray diffraction stick pattern of TlZnPb2 was calculated for Cu Ka.
Neutral-atom scattering factors, no anomalous dispersion.

Lattice parameters (Å, degrees): 4.708 4.708 10.113 90.00 90.00 90.00
Sites, in units of the cell vectors:
1 Tl 0.000 0.000 0.000
2 Tl 0.500 0.500 0.500
3 Zn 0.000 0.500 0.750
4 Zn 0.500 0.000 0.250
5 Pb 0.000 0.000 0.500
6 Pb 0.000 0.500 0.250
7 Pb 0.500 0.000 0.750
8 Pb 0.500 0.500 0.000

Top 10 peaks for 10° ≤ 2θ ≤ 90°, by intensity:
Position (°2θ)  I (rel.)
32.19  100
38.23  32
65.34  27
53.16  25
35.51  19
61.69  16
87.40  13
67.36  12
55.18  11
20.81  11



4.
Starting from a DFT-relaxed cell (GGA-PBE, Alexandria), the X-ray diffraction stick pattern of MgPaSi2Rh5 was calculated for Cu Ka.
Neutral-atom scattering factors, no anomalous dispersion.

Lattice parameters (Å, degrees): 4.091 4.091 8.506 90.00 90.00 90.00
Sites, in units of the cell vectors:
1 Mg 0.000 0.000 0.000
2 Pa 0.000 0.000 0.500
3 Si 0.500 0.500 0.360
4 Si 0.500 0.500 0.640
5 Rh 0.000 0.500 0.226
6 Rh 0.000 0.500 0.774
7 Rh 0.500 0.000 0.226
8 Rh 0.500 0.000 0.774
9 Rh 0.500 0.500 0.000

Top 10 peaks for 10° ≤ 2θ ≤ 90°, by intensity:
Position (°2θ)  I (rel.)
37.60  100
24.14  40
44.28  39
77.05  24
38.64  21
63.06  17
42.51  13
64.42  13
60.20  12
51.06  11